Record 1
Structure and theoretical powder diffraction line list of Li10Mn3Cr3Fe2O16 (a cell relaxed with PBE+U; Cu Kα (λ = 1.5418 Å)).
Neutral-atom scattering factors, no anomalous dispersion.

Crystal structure
Lattice parameters (Å, degrees): 5.966 6.056 9.963 91.30 90.60 119.24
Atoms (fractional coordinates):
Li 0.000 0.000 0.000
Li 0.014 0.020 0.499
Li 0.203 0.819 0.422
Li 0.217 0.418 0.430
Li 0.319 0.670 0.203
Li 0.406 0.218 0.922
Li 0.622 0.838 0.413
Li 0.690 0.340 0.705
Li 0.819 0.214 0.930
Li 0.833 0.619 0.919
Mn 0.189 0.353 0.699
Mn 0.190 0.845 0.697
Mn 0.334 0.180 0.199
Cr 0.688 0.848 0.697
Cr 0.828 0.674 0.196
Cr 0.829 0.178 0.197
Fe 0.351 0.683 0.956
Fe 0.677 0.361 0.455
O 0.018 0.983 0.814
O 0.037 0.498 0.821
O 0.158 0.319 0.086
O 0.161 0.848 0.089
O 0.345 0.215 0.571
O 0.364 0.716 0.575
O 0.505 0.508 0.307
O 0.507 0.040 0.311
O 0.509 0.999 0.812
O 0.516 0.524 0.809
O 0.680 0.851 0.081
O 0.688 0.353 0.075
O 0.859 0.176 0.592
O 0.874 0.703 0.582
O 0.969 0.998 0.314
O 0.985 0.505 0.315

Largest 8 diffraction maxima, in order of rising 2θ, 2θ = 10–90°:
4.979 Å, 17.82 deg, I 100
4.609 Å, 19.26 deg, I 54
4.576 Å, 19.40 deg, I 54
2.572 Å, 34.89 deg, I 40
2.533 Å, 35.44 deg, I 34
2.099 Å, 43.09 deg, I 35
2.050 Å, 44.18 deg, I 35
2.036 Å, 44.50 deg, I 58


Record 2
Structure and theoretical powder diffraction line list of Li5Cr3P4O16 (a cell relaxed with PBE+U; Cu Kα (λ = 1.5418 Å)).
Neutral-atom scattering factors, no anomalous dispersion.

Crystal structure
Lattice parameters (Å, degrees): 5.012 8.018 8.588 110.01 90.56 104.93
Atoms (fractional coordinates):
Li 0.000 0.000 0.000
Li 0.064 0.122 0.396
Li 0.433 0.861 0.392
Li 0.597 0.072 0.808
Li 0.664 0.200 0.210
Cr 0.242 0.350 0.825
Cr 0.334 0.606 0.602
Cr 0.835 0.609 0.114
P 0.245 0.406 0.202
P 0.421 0.799 0.014
P 0.704 0.307 0.568
P 0.961 0.895 0.633
O 0.034 0.370 0.594
O 0.043 0.079 0.793
O 0.072 0.926 0.477
O 0.075 0.757 0.682
O 0.086 0.434 0.057
O 0.089 0.218 0.213
O 0.122 0.806 0.055
O 0.242 0.571 0.361
O 0.417 0.630 0.848
O 0.540 0.398 0.153
O 0.572 0.771 0.157
O 0.576 0.981 0.993
O 0.588 0.450 0.529
O 0.601 0.278 0.730
O 0.625 0.127 0.414
O 0.634 0.839 0.614

Largest 8 diffraction maxima, in order of rising 2θ, 2θ = 10–90°:
7.237 Å, 12.23 deg, I 100
4.011 Å, 22.16 deg, I 76
3.629 Å, 24.53 deg, I 67
3.447 Å, 25.85 deg, I 71
3.074 Å, 29.05 deg, I 51
2.993 Å, 29.85 deg, I 47
2.862 Å, 31.25 deg, I 66
2.501 Å, 35.90 deg, I 66


Record 3
Structure and theoretical powder diffraction line list of Li2Ni3B3O9 (a cell relaxed with PBE+U; Cu Kα (λ = 1.5418 Å)).
Neutral-atom scattering factors, no anomalous dispersion.

Crystal structure
Lattice parameters (Å, degrees): 6.062 8.102 8.104 119.93 90.09 90.08
Atoms (fractional coordinates):
Li 0.000 0.000 0.000
Li 0.003 0.673 0.423
Li 0.498 0.252 0.676
Li 0.503 0.001 0.001
Ni 0.246 0.960 0.324
Ni 0.249 0.603 0.711
Ni 0.253 0.361 0.068
Ni 0.746 0.960 0.320
Ni 0.750 0.361 0.068
Ni 0.751 0.603 0.709
B 0.000 0.643 0.037
B 0.250 0.976 0.706
B 0.498 0.307 0.363
B 0.500 0.644 0.029
B 0.751 0.976 0.702
B 0.999 0.307 0.366
O 0.000 0.430 0.559
O 0.000 0.723 0.920
O 0.002 0.387 0.248
O 0.002 0.448 0.959
O 0.238 0.780 0.612
O 0.252 0.077 0.903
O 0.261 0.066 0.601
O 0.494 0.110 0.286
O 0.496 0.760 0.223
O 0.498 0.422 0.559
O 0.500 0.446 0.948
O 0.502 0.378 0.241
O 0.503 0.723 0.910
O 0.733 0.065 0.597
O 0.751 0.078 0.899
O 0.768 0.780 0.609
O 0.996 0.112 0.286
O 0.996 0.760 0.235

Largest 8 diffraction maxima, in order of rising 2θ, 2θ = 10–90°:
4.053 Å, 21.93 deg, I 100
2.653 Å, 33.78 deg, I 16
2.429 Å, 37.00 deg, I 31
2.425 Å, 37.07 deg, I 31
2.340 Å, 38.47 deg, I 21
1.947 Å, 46.65 deg, I 10
1.851 Å, 49.23 deg, I 14
1.637 Å, 56.19 deg, I 14


Record 4
Structure and theoretical powder diffraction line list of CrHg3F6 (a cell relaxed with PBE+U; Cu Kα (λ = 1.5418 Å)).
Neutral-atom scattering factors, no anomalous dispersion.

Crystal structure
Lattice parameters (Å, degrees): 5.836 6.393 7.048 87.51 76.57 63.00
Atoms (fractional coordinates):
Cr 0.000 0.000 0.000
Hg 0.000 0.500 0.000
Hg 0.500 0.000 0.500
Hg 0.500 0.500 0.000
F 0.149 0.238 0.663
F 0.283 0.889 0.146
F 0.294 0.768 0.787
F 0.706 0.232 0.213
F 0.717 0.111 0.854
F 0.851 0.762 0.337

Largest 8 diffraction maxima, in order of rising 2θ, 2θ = 10–90°:
6.837 Å, 12.95 deg, I 63
4.532 Å, 19.59 deg, I 100
4.490 Å, 19.77 deg, I 31
4.224 Å, 21.03 deg, I 75
3.419 Å, 26.07 deg, I 61
2.868 Å, 31.19 deg, I 33
2.840 Å, 31.50 deg, I 48
2.553 Å, 35.15 deg, I 36


Record 5
Structure and theoretical powder diffraction line list of Li4Si3Ni2O10 (a cell relaxed with PBE+U; Cu Kα (λ = 1.5418 Å)).
Neutral-atom scattering factors, no anomalous dispersion.

Crystal structure
Lattice parameters (Å, degrees): 5.308 5.308 16.681 97.07 97.07 61.97
Atoms (fractional coordinates):
Li 0.076 0.293 0.230
Li 0.178 0.331 0.553
Li 0.293 0.076 0.730
Li 0.331 0.178 0.053
Li 0.669 0.822 0.947
Li 0.707 0.924 0.270
Li 0.822 0.669 0.447
Li 0.924 0.707 0.770
Si 0.030 0.838 0.098
Si 0.162 0.970 0.402
Si 0.387 0.613 0.250
Si 0.613 0.387 0.750
Si 0.838 0.030 0.598
Si 0.970 0.162 0.902
Ni 0.306 0.499 0.919
Ni 0.499 0.306 0.419
Ni 0.501 0.694 0.581
Ni 0.694 0.501 0.081
O 0.053 0.138 0.110
O 0.090 0.709 0.189
O 0.130 0.283 0.434
O 0.138 0.053 0.610
O 0.283 0.130 0.934
O 0.284 0.587 0.045
O 0.291 0.910 0.311
O 0.340 0.423 0.793
O 0.413 0.716 0.455
O 0.423 0.340 0.293
O 0.577 0.660 0.707
O 0.587 0.284 0.545
O 0.660 0.577 0.207
O 0.709 0.090 0.689
O 0.716 0.413 0.955
O 0.717 0.870 0.066
O 0.862 0.947 0.390
O 0.870 0.717 0.566
O 0.910 0.291 0.811
O 0.947 0.862 0.890

Largest 8 diffraction maxima, in order of rising 2θ, 2θ = 10–90°:
8.254 Å, 10.72 deg, I 78
4.587 Å, 19.35 deg, I 72
4.504 Å, 19.71 deg, I 77
4.206 Å, 21.12 deg, I 79
3.214 Å, 27.75 deg, I 56
2.751 Å, 32.54 deg, I 91
2.651 Å, 33.81 deg, I 100
1.941 Å, 46.80 deg, I 52